Calculated powder XRD pattern of CaPr4Sm2Y for Cu Kα (λ = 1.5418 Å), from DFT lattice parameters and positions (PBE).
Peak positions follow from Bragg's law for the DFT cell and can differ from measured ones.

Crystal structure
```
CaPr4Sm2Y
1.0
7.0202 -6.7964 0.0000
7.0202 6.7964 0.0000
-3.4238 0.0000 6.0543
Ca Pr Sm Y
2 8 4 2
Direct
0.0000 0.0000 0.0000
0.0000 0.0000 0.5000
0.2521 0.7481 0.5106
0.2519 0.7479 0.9894
0.2609 0.2640 0.5291
0.2640 0.2609 0.0291
0.7360 0.7391 0.9709
0.7391 0.7360 0.4709
0.7481 0.2521 0.0106
0.7479 0.2519 0.4894
0.0000 0.5000 0.5000
0.5000 0.0000 0.0000
0.5000 0.5000 0.0000
0.5000 0.5000 0.5000
0.0000 0.5000 0.0000
0.5000 0.0000 0.5000
```

Main lines, sorted by position (2θ = 10–90°):
| 2θ/deg | I_rel |
| --- | --- |
| 26.22 | 100 |
| 29.23 | 74 |
| 29.51 | 71 |
| 29.60 | 73 |
| 39.67 | 64 |
| 39.88 | 63 |
| 39.95 | 65 |
| 59.26 | 20 |
| 59.74 | 19 |
| 62.73 | 33 |